This entry pairs a crystal structure of Sm4Si3Pd4 with its calculated powder diffraction line list. Radiation: Cu Kα, 1.54184 Å. Structure: a structure optimized by DFT (PBE).
No peak broadening, texture or thermal motion is included.

Peak list (12 most intense, 15 to 90 degrees two-theta, by angle)
| 2θ (°) | I/Imax |
| --- | --- |
| 24.46 | 38 |
| 30.03 | 54 |
| 33.68 | 59 |
| 33.96 | 74 |
| 34.24 | 100 |
| 35.76 | 40 |
| 36.37 | 72 |
| 36.89 | 61 |
| 37.44 | 93 |
| 40.59 | 75 |
| 48.41 | 36 |
| 59.99 | 22 |

Atomic structure:
a = 21.225 Å, b = 5.583 Å, c = 7.996 Å
α = 90.00°, β = 108.85°, γ = 90.00°
Space group C2/c (No. 15)
Inequivalent atoms, fractional coordinates:
Sm1 0.068 0.133 0.167 x8
Sm2 0.170 0.375 0.893 x8
Si1 0.000 0.342 0.750 x4
Si2 0.171 0.125 0.546 x8
Pd1 0.065 0.372 0.514 x8
Pd2 0.224 0.137 0.298 x8


This entry pairs a crystal structure of SmSi3Pd10 with its calculated powder diffraction line list. Radiation: Cu Kα, 1.54184 Å. Structure: a structure optimized by DFT (PBE).
No peak broadening, texture or thermal motion is included.

Peak list (12 most intense, 15 to 90 degrees two-theta, by angle)
| 2θ (°) | I/Imax |
| --- | --- |
| 32.61 | 51 |
| 35.82 | 27 |
| 38.07 | 100 |
| 41.60 | 31 |
| 43.60 | 49 |
| 49.21 | 23 |
| 62.34 | 16 |
| 64.36 | 30 |
| 65.86 | 12 |
| 69.76 | 13 |
| 75.91 | 21 |
| 77.30 | 9 |

Atomic structure:
a = 12.282 Å, b = 12.282 Å, c = 12.282 Å
α = 90.00°, β = 90.00°, γ = 90.00°
Space group Fm-3m (No. 225)
Inequivalent atoms, fractional coordinates:
Sm1 0.250 0.250 0.250 x8
Si1 0.000 0.000 0.235 x24
Pd1 0.000 0.172 0.328 x48
Pd2 0.115 0.115 0.115 x32


This entry pairs a crystal structure of Sm4Si3SnPd12 with its calculated powder diffraction line list. Radiation: Cu Kα, 1.54184 Å. Structure: a structure optimized by DFT (PBE).
No peak broadening, texture or thermal motion is included.

Peak list (12 most intense, 15 to 90 degrees two-theta, by angle)
| 2θ (°) | I/Imax |
| --- | --- |
| 26.81 | 13 |
| 30.04 | 2 |
| 32.99 | 100 |
| 35.72 | 3 |
| 38.28 | 77 |
| 47.35 | 5 |
| 55.24 | 52 |
| 62.44 | 3 |
| 65.87 | 38 |
| 69.20 | 17 |
| 75.66 | 3 |
| 81.94 | 8 |

Atomic structure:
a = 9.406 Å, b = 9.406 Å, c = 9.406 Å
α = 90.00°, β = 90.00°, γ = 90.00°
Space group Im-3m (No. 229)
Inequivalent atoms, fractional coordinates:
Sm1 0.250 0.250 0.250 x8
Si1 0.000 0.000 0.500 x6
Sn1 0.000 0.000 0.000 x2
Pd1 0.000 0.000 0.265 x12
Pd2 0.000 0.250 0.500 x12


This entry pairs a crystal structure of TbSmSi2Pd5 with its calculated powder diffraction line list. Radiation: Cu Kα, 1.54184 Å. Structure: a structure optimized by DFT (PBE).
No peak broadening, texture or thermal motion is included.

Peak list (12 most intense, 15 to 90 degrees two-theta, by angle)
| 2θ (°) | I/Imax |
| --- | --- |
| 21.13 | 5 |
| 29.04 | 10 |
| 36.20 | 100 |
| 39.99 | 16 |
| 42.78 | 6 |
| 43.03 | 36 |
| 45.67 | 5 |
| 60.19 | 19 |
| 62.49 | 12 |
| 70.17 | 13 |
| 74.40 | 24 |
| 76.82 | 9 |

Atomic structure:
a = 4.204 Å, b = 4.204 Å, c = 9.017 Å
α = 90.00°, β = 90.00°, γ = 90.00°
Space group P4/mmm (No. 123)
Inequivalent atoms, fractional coordinates:
Tb1 0.000 0.000 0.000 x1
Sm1 0.000 0.000 0.500 x1
Si1 0.500 0.500 0.131 x2
Pd1 0.000 0.500 0.266 x4
Pd2 0.500 0.500 0.500 x1


This entry pairs a crystal structure of SiSnPd4 with its calculated powder diffraction line list. Radiation: Cu Kα, 1.54184 Å. Structure: a structure optimized by DFT (PBE).
No peak broadening, texture or thermal motion is included.

Peak list (12 most intense, 15 to 90 degrees two-theta, by angle)
| 2θ (°) | I/Imax |
| --- | --- |
| 36.51 | 100 |
| 36.63 | 43 |
| 37.07 | 18 |
| 38.08 | 20 |
| 38.42 | 22 |
| 39.73 | 24 |
| 40.47 | 43 |
| 41.62 | 20 |
| 45.31 | 18 |
| 45.62 | 33 |
| 52.24 | 31 |
| 71.83 | 17 |

Atomic structure:
a = 6.875 Å, b = 3.502 Å, c = 16.010 Å
α = 90.00°, β = 90.00°, γ = 90.00°
Space group Pnma (No. 62)
Inequivalent atoms, fractional coordinates:
Si1 0.250 0.250 0.056 x4
Sn1 0.246 0.250 0.811 x4
Pd1 0.004 0.750 0.435 x4
Pd2 0.060 0.750 0.705 x4
Pd3 0.126 0.750 0.149 x4
Pd4 0.133 0.750 0.955 x4


This entry pairs a crystal structure of Si2Sn5Pd12 with its calculated powder diffraction line list. Radiation: Cu Kα, 1.54184 Å. Structure: a structure optimized by DFT (PBE).
No peak broadening, texture or thermal motion is included.

Peak list (12 most intense, 15 to 90 degrees two-theta, by angle)
| 2θ (°) | I/Imax |
| --- | --- |
| 35.09 | 37 |
| 36.17 | 76 |
| 37.87 | 100 |
| 39.64 | 82 |
| 40.07 | 67 |
| 41.64 | 55 |
| 42.20 | 52 |
| 44.22 | 69 |
| 45.89 | 30 |
| 48.41 | 27 |
| 61.89 | 32 |
| 73.44 | 29 |

Atomic structure:
a = 13.951 Å, b = 7.521 Å, c = 7.119 Å
α = 90.00°, β = 108.52°, γ = 90.00°
Space group C2/m (No. 12)
Inequivalent atoms, fractional coordinates:
Si1 0.000 0.250 0.000 x4
Sn1 0.000 0.000 0.500 x2
Sn2 0.219 0.500 0.843 x4
Sn3 0.234 0.000 0.551 x4
Pd1 0.017 0.500 0.803 x4
Pd2 0.076 0.000 0.200 x4
Pd3 0.110 0.302 0.513 x8
Pd4 0.177 0.306 0.126 x8


This entry pairs a crystal structure of SrSi6Pd12 with its calculated powder diffraction line list. Radiation: Cu Kα, 1.54184 Å. Structure: a structure optimized by DFT (PBE).
No peak broadening, texture or thermal motion is included.

Peak list (12 most intense, 15 to 90 degrees two-theta, by angle)
| 2θ (°) | I/Imax |
| --- | --- |
| 27.80 | 17 |
| 34.63 | 100 |
| 35.47 | 45 |
| 39.35 | 16 |
| 41.52 | 19 |
| 42.25 | 61 |
| 42.59 | 22 |
| 48.22 | 20 |
| 51.32 | 29 |
| 64.73 | 26 |
| 67.79 | 17 |
| 75.04 | 16 |

Atomic structure:
a = 11.3243 Å, b = 11.3243 Å, c = 8.4864 Å
α = 90.00°, β = 90.00°, γ = 120.00°
Space group R-3m (No. 166, hexagonal axes)
Inequivalent atoms, fractional coordinates:
Sr1 0.0000 0.0000 0.0000 x3
Si1 0.0436 0.5218 0.2753 x18
Pd1 0.0000 0.3734 0.5000 x18
Pd2 0.0891 0.1782 0.3538 x18


This entry pairs a crystal structure of SrSi4Pd2 with its calculated powder diffraction line list. Radiation: Cu Kα, 1.54184 Å. Structure: a structure optimized by DFT (PBE).
No peak broadening, texture or thermal motion is included.

Peak list (12 most intense, 15 to 90 degrees two-theta, by angle)
| 2θ (°) | I/Imax |
| --- | --- |
| 17.64 | 34 |
| 24.93 | 51 |
| 25.16 | 50 |
| 32.00 | 22 |
| 32.14 | 22 |
| 35.64 | 100 |
| 39.95 | 11 |
| 47.80 | 21 |
| 51.20 | 38 |
| 51.46 | 25 |
| 51.64 | 12 |
| 64.11 | 11 |

Atomic structure:
a = 5.824 Å, b = 7.079 Å, c = 7.142 Å
α = 90.00°, β = 90.00°, γ = 90.00°
Space group Immm (No. 71)
Inequivalent atoms, fractional coordinates:
Sr1 0.000 0.000 0.000 x2
Si1 0.000 0.266 0.500 x4
Si2 0.000 0.500 0.265 x4
Pd1 0.249 0.500 0.000 x4


This entry pairs a crystal structure of SrSi3Pd3 with its calculated powder diffraction line list. Radiation: Cu Kα, 1.54184 Å. Structure: a structure optimized by DFT (PBE).
No peak broadening, texture or thermal motion is included.

Peak list (12 most intense, 15 to 90 degrees two-theta, by angle)
| 2θ (°) | I/Imax |
| --- | --- |
| 19.42 | 16 |
| 28.91 | 55 |
| 29.86 | 38 |
| 31.08 | 100 |
| 33.98 | 47 |
| 36.91 | 37 |
| 41.12 | 22 |
| 43.17 | 28 |
| 46.71 | 32 |
| 53.38 | 15 |
| 55.12 | 42 |
| 56.04 | 22 |

Atomic structure:
a = 9.1402 Å, b = 9.1402 Å, c = 4.1909 Å
α = 90.00°, β = 90.00°, γ = 120.00°
Space group P6_3/m (No. 176)
Inequivalent atoms, fractional coordinates:
Sr1 0.3333 0.6667 0.2500 x2
Si1 0.0508 0.6267 0.7500 x6
Pd1 0.0861 0.3744 0.7500 x6


This entry pairs a crystal structure of Sr3SiPd2 with its calculated powder diffraction line list. Radiation: Cu Kα, 1.54184 Å. Structure: a structure optimized by DFT (PBE).
No peak broadening, texture or thermal motion is included.

Peak list (12 most intense, 15 to 90 degrees two-theta, by angle)
| 2θ (°) | I/Imax |
| --- | --- |
| 25.52 | 28 |
| 28.53 | 38 |
| 28.90 | 100 |
| 29.83 | 43 |
| 30.03 | 67 |
| 30.71 | 86 |
| 32.98 | 35 |
| 35.21 | 33 |
| 37.39 | 33 |
| 38.45 | 49 |
| 41.12 | 72 |
| 51.76 | 28 |

Atomic structure:
a = 12.226 Å, b = 4.389 Å, c = 13.051 Å
α = 90.00°, β = 90.00°, γ = 90.00°
Space group Pnma (No. 62)
Inequivalent atoms, fractional coordinates:
Sr1 0.067 0.250 0.116 x4
Sr2 0.120 0.750 0.549 x4
Sr3 0.194 0.250 0.800 x4
Si1 0.122 0.250 0.353 x4
Pd1 0.044 0.750 0.318 x4
Pd2 0.211 0.750 0.967 x4


This entry pairs a crystal structure of Sr3Si2Pd2 with its calculated powder diffraction line list. Radiation: Cu Kα, 1.54184 Å. Structure: a structure optimized by DFT (PBE).
No peak broadening, texture or thermal motion is included.

Peak list (12 most intense, 15 to 90 degrees two-theta, by angle)
| 2θ (°) | I/Imax |
| --- | --- |
| 18.86 | 24 |
| 28.39 | 59 |
| 29.95 | 78 |
| 30.52 | 100 |
| 34.29 | 94 |
| 38.62 | 46 |
| 39.63 | 32 |
| 42.41 | 35 |
| 48.48 | 25 |
| 53.15 | 41 |
| 58.70 | 27 |
| 63.63 | 22 |

Atomic structure:
a = 4.262 Å, b = 4.662 Å, c = 18.823 Å
α = 90.00°, β = 90.00°, γ = 90.00°
Space group Immm (No. 71)
Inequivalent atoms, fractional coordinates:
Sr1 0.000 0.000 0.000 x2
Sr2 0.000 0.500 0.318 x4
Si1 0.000 0.000 0.437 x4
Pd1 0.000 0.500 0.126 x4